Starting from DFT lattice parameters and positions (PBE), the XRD peak list of La2CO5 was computed for λ = 1.5418 Å (Cu Kα).
No peak broadening, texture or thermal motion is included.

Largest 8 diffraction maxima, sorted by position, 2θ = 10–90°:
2theta  intensity
22.3  40
25.5  66
25.8  38
30.1  100
30.3  42
33.6  49
44.2  54
47.2  36

Atomic structure:
```
La2CO5
1.0
15.980 0.000 0.000
0.000 3.537 2.073
0.000 -3.537 2.073
La C O
4 2 10
direct
0.095 0.166 0.834
0.405 0.166 0.834
0.595 0.834 0.166
0.905 0.834 0.166
0.250 0.636 0.569
0.750 0.569 0.636
0.057 0.832 0.167
0.178 0.465 0.482
0.250 0.996 0.751
0.322 0.465 0.482
0.443 0.832 0.167
0.557 0.167 0.832
0.678 0.482 0.465
0.750 0.751 0.996
0.822 0.482 0.465
0.943 0.167 0.832
```